No. 1
# Li8Fe3Ni7O20
Theoretical powder X-ray diffraction pattern, a wavelength of 1.5418 Å. Input: the PBE+U geometry in Alexandria.

Peak list (10 most intense, 2θ = 10–90°, sorted by position)
two_theta	intensity
18.51	100
36.08	14
36.85	24
38.37	9
43.60	22
44.52	41
48.36	8
58.52	10
63.80	11
64.35	12

Structural model:
Cell: 5.099 2.844 23.779 Å, 90.00 93.89 90.00°
Positions (direct):
Li  0.000  0.000  0.000
Li  0.000  0.500  0.500
Li  0.198  0.000  0.599
Li  0.383  0.000  0.194
Li  0.400  0.500  0.697
Li  0.600  0.500  0.303
Li  0.617  0.000  0.806
Li  0.802  0.000  0.401
Fe  0.307  0.500  0.400
Fe  0.500  0.000  0.500
Fe  0.693  0.500  0.600
Ni  0.097  0.000  0.300
Ni  0.111  0.500  0.799
Ni  0.307  0.000  0.900
Ni  0.500  0.500  0.000
Ni  0.693  0.000  0.100
Ni  0.889  0.500  0.201
Ni  0.903  0.000  0.700
O  0.017  0.000  0.159
O  0.019  0.500  0.650
O  0.179  0.000  0.448
O  0.201  0.500  0.950
O  0.202  0.500  0.249
O  0.248  0.000  0.756
O  0.367  0.000  0.042
O  0.374  0.500  0.548
O  0.411  0.500  0.849
O  0.442  0.000  0.353
O  0.558  0.000  0.647
O  0.589  0.500  0.151
O  0.626  0.500  0.452
O  0.633  0.000  0.958
O  0.752  0.000  0.244
O  0.798  0.500  0.751
O  0.799  0.500  0.050
O  0.821  0.000  0.552
O  0.981  0.500  0.350
O  0.983  0.000  0.841


No. 2
# Li3Fe2Ni2O8
Theoretical powder X-ray diffraction pattern, a wavelength of 1.5418 Å. Input: the PBE+U geometry in Alexandria.

Peak list (10 most intense, 2θ = 10–90°, sorted by position)
two_theta	intensity
18.37	100
18.47	72
35.30	16
35.81	18
35.89	16
37.35	16
42.70	40
43.65	37
43.78	37
62.54	21

Structural model:
Cell: 5.852 5.861 5.896 Å, 119.28 119.57 90.17°
Positions (direct):
Li  0.000  0.000  0.000
Li  0.000  0.500  0.000
Li  0.500  0.000  0.500
Fe  0.000  0.500  0.500
Fe  0.500  0.500  0.500
Ni  0.500  0.000  0.000
Ni  0.500  0.500  0.000
O  0.260  0.268  0.486
O  0.261  0.723  0.978
O  0.270  0.728  0.505
O  0.289  0.288  0.048
O  0.711  0.712  0.952
O  0.730  0.272  0.495
O  0.739  0.277  0.022
O  0.740  0.732  0.514